Entry 1:
Computed PXRD pattern
Compound: Zr2Cu2Pd
Radiation: copper Kα
Structure: a GGA-PBE-relaxed structure

Largest 10 diffraction maxima, in order of falling intensity, 5° ≤ 2θ ≤ 70°:
2theta	Rel. int.
41.1	100
36.8	68
43.5	63
34.1	60
40.8	48
36.3	43
37.0	29
42.9	24
34.7	15
58.4	14

Crystal structure
```
Zr2Cu2Pd
1.0
4.946 -2.083 0.000
4.946 2.083 0.000
-3.364 0.000 8.424
Zr Cu Pd
4 4 2
Cartesian
-0.997 0.000 2.804
1.501 0.000 0.874
5.026 0.000 7.549
7.525 0.000 5.620
2.223 0.000 3.622
4.202 0.000 0.951
2.325 0.000 7.472
4.304 0.000 4.802
0.532 0.000 5.626
5.995 0.000 2.797
```

---

Entry 2:
Computed PXRD pattern
Compound: Ac4GaPBr2
Radiation: copper Kα
Structure: a GGA-PBE-relaxed structure

Largest 10 diffraction maxima, in order of falling intensity, 5° ≤ 2θ ≤ 70°:
2theta	Rel. int.
27.5	100
23.8	27
39.9	27
39.4	24
38.8	22
48.7	14
24.2	13
65.1	12
56.9	11
23.4	11

Crystal structure
```
Ac4GaPBr2
1.0
7.799 0.000 0.000
0.000 4.583 0.000
-2.708 0.000 7.605
Ac Ga P Br
4 1 1 2
Cartesian
1.247 0.000 1.621
-0.115 2.291 5.954
5.205 2.291 1.650
3.843 0.000 5.984
3.900 0.000 0.000
0.000 2.291 0.000
-1.354 0.000 3.802
2.545 2.291 3.802
```

---

Entry 3:
Computed PXRD pattern
Compound: PrNdDy2Tm4
Radiation: copper Kα
Structure: a GGA-PBE-relaxed structure

Largest 10 diffraction maxima, in order of falling intensity, 5° ≤ 2θ ≤ 70°:
2theta	Rel. int.
33.0	100
30.0	49
31.2	35
61.2	31
37.4	27
51.3	27
56.6	21
62.3	16
49.5	12
65.1	6

Crystal structure
```
PrNdDy2Tm4
1.0
7.126 0.000 0.000
3.557 6.177 0.000
0.008 0.002 11.470
Pr Nd Dy Tm
2 2 4 8
Cartesian
0.000 0.000 0.000
3.563 0.000 0.000
0.004 0.001 5.735
1.778 3.088 0.000
1.783 3.089 5.735
3.567 0.001 5.735
5.342 3.088 0.000
5.346 3.089 5.735
1.786 1.034 2.889
3.563 4.119 2.892
3.565 2.059 8.581
5.345 5.144 8.578
5.346 1.034 2.892
7.126 4.120 2.889
7.128 2.060 8.578
8.905 5.145 8.582
```

---

Entry 4:
Computed PXRD pattern
Compound: SrSm2Hg7
Radiation: copper Kα
Structure: a GGA-PBE-relaxed structure

Largest 10 diffraction maxima, in order of falling intensity, 5° ≤ 2θ ≤ 70°:
2theta	Rel. int.
34.8	100
35.5	64
29.6	49
62.9	25
50.6	23
62.4	19
7.2	16
46.3	14
59.2	14
64.2	11

Crystal structure
```
SrSm2Hg7
1.0
5.154 0.000 0.000
-2.577 4.464 0.000
0.000 0.000 12.276
Sr Sm Hg
1 2 7
Cartesian
0.000 0.000 0.000
0.000 2.976 7.994
2.577 1.488 5.420
0.000 0.000 3.693
0.000 0.000 6.939
0.000 2.976 1.704
0.000 2.976 4.741
0.000 2.976 10.950
2.577 1.488 2.056
2.577 1.488 9.519
```